This entry pairs a crystal structure of RbHCl2F8 with its simulated powder diffraction line list. Radiation: Cu Kα, 1.54184 Å. Structure: a DFT-relaxed cell (GGA-PBE, Alexandria).
Lines closer than 0.1° are merged.

Peak list (10 most intense, 2θ = 15–90°, low angle first)
(2 0 -1), 16.71 deg, I = 19.8
(1 1 -1), 18.82 deg, I = 94.9
(2 0 0), 20.17 deg, I = 100.0
(1 1 -2), 27.53 deg, I = 17.5
(0 2 0), 30.16 deg, I = 35.2
(3 1 -2), 30.94 deg, I = 63.9
(4 0 -1), 34.85 deg, I = 16.1
(4 0 -3), 38.18 deg, I = 29.5
(2 0 2), 42.75 deg, I = 20.5
(3 3 -2), 54.05 deg, I = 22.0

Structure:
```
data_RbHCl2F8
_chemical_formula_sum 'Rb2 H2 Cl4 F16'
_symmetry_space_group_name_H-M 'C 1 2/m 1'
_symmetry_Int_Tables_number 12
_symmetry_space_group_name_Hall '-C 2y'
_cell_length_a 10.6951
_cell_length_b 5.9266
_cell_length_c 7.9559
_cell_angle_alpha 90.00
_cell_angle_beta 124.58
_cell_angle_gamma 90.00
loop_
_atom_site_label
_atom_site_type_symbol
_atom_site_fract_x
_atom_site_fract_y
_atom_site_fract_z
Rb1 Rb 0.0000 0.0000 0.0000
H1 H 0.0000 0.0000 0.5000
Cl1 Cl 0.0660 0.5000 0.3861
F1 F 0.0564 0.1826 0.3942
F2 F 0.0728 0.5000 0.8863
F3 F 0.2125 0.5000 0.6543
```